Entry 1:
Starting from the GGA+U geometry in the Materials Project, the X-ray diffraction stick pattern of CaSc4Fe4O12 was simulated for Cu Kα, 1.54184 Å.
Intensities are scaled so that the largest is 100.

Peak list (12 most intense, 2θ from 10° to 90°, by angle)
| (hkl) | 2θ (°) | I/Imax |
| --- | --- | --- |
| 0 1 1 | 18.6 | 28.2 |
| 1 -1 0 | 24.2 | 21.9 |
| 1 -1 2 | 31.5 | 100.0 |
| 1 1 -2 | 31.8 | 77.3 |
| 0 2 1 | 33.9 | 22.4 |
| 1 1 3 | 36.8 | 30.4 |
| 2 1 1 | 38.7 | 40.9 |
| -1 1 3 | 38.8 | 42.0 |
| 1 -2 2 | 43.6 | 24.9 |
| 2 2 1 | 47.9 | 34.0 |
| -2 2 1 | 50.8 | 27.2 |
| 1 3 -1 | 54.5 | 23.1 |

Crystal structure
```
data_CaSc4Fe4O12
_chemical_formula_sum 'Ca1 Sc4 Fe4 O12'
_space_group_name_H-M_alt 'P 1'
_space_group_IT_number 1
_cell_length_a 5.173
_cell_length_b 5.458
_cell_length_c 9.000
_cell_angle_alpha 87.08
_cell_angle_beta 87.13
_cell_angle_gamma 87.51
loop_
_space_group_symop_operation_xyz
'x,y,z'
loop_
_atom_site_label
_atom_site_fract_x
_atom_site_fract_y
_atom_site_fract_z
Ca1 0.000 0.000 0.000
Sc1 0.053 0.775 0.342
Sc2 0.184 0.556 0.816
Sc3 0.544 0.069 0.806
Sc4 0.616 0.246 0.391
Fe1 0.100 0.147 0.588
Fe2 0.147 0.329 0.212
Fe3 0.581 0.578 0.078
Fe4 0.672 0.653 0.624
O1 0.274 0.075 0.383
O2 0.337 0.851 0.665
O3 0.362 0.303 0.973
O4 0.365 0.803 0.949
O5 0.407 0.553 0.298
O6 0.417 0.357 0.650
O7 0.814 0.951 0.516
O8 0.824 0.741 0.807
O9 0.837 0.116 0.222
O10 0.902 0.465 0.483
O11 0.926 0.236 0.781
O12 0.935 0.636 0.147
```

Entry 2:
Starting from the GGA+U geometry in the Materials Project, the X-ray diffraction stick pattern of Ca3Fe2Se6O18 was simulated for Cu Kα, 1.54184 Å.
Intensities are scaled so that the largest is 100.

Peak list (12 most intense, 2θ from 10° to 90°, by angle)
| (hkl) | 2θ (°) | I/Imax |
| --- | --- | --- |
| 1 0 4 | 14.8 | 21.0 |
| 1 1 0 | 20.5 | 12.8 |
| 1 1 3 | 21.6 | 23.0 |
| 0 2 4 | 25.4 | 15.2 |
| 1 1 9 | 28.9 | 100.0 |
| 2 0 8 | 29.9 | 11.8 |
| 2 1 1 | 31.7 | 9.3 |
| 1 1 12 | 34.1 | 12.2 |
| 3 0 0 | 36.0 | 21.5 |
| 0 3 6 | 38.5 | 8.9 |
| 2 2 9 | 46.8 | 9.5 |
| 0 3 18 | 55.5 | 13.1 |

Crystal structure
```
data_Ca3Fe2Se6O18
_chemical_formula_sum 'Ca18 Fe12 Se36 O108'
_space_group_name_H-M_alt 'R -3 c'
_space_group_IT_number 167
_space_group_name_Hall '-R 3 2"c'
_cell_length_a 8.6458
_cell_length_b 8.6458
_cell_length_c 39.8285
_cell_angle_alpha 90.00
_cell_angle_beta 90.00
_cell_angle_gamma 120.00
loop_
_atom_site_label
_atom_site_fract_x
_atom_site_fract_y
_atom_site_fract_z
Ca1 0.0000 0.4094 0.2500
Fe1 0.0000 0.0000 0.0000
Fe2 0.0000 0.0000 0.2500
Se1 0.0108 0.2966 0.8029
O1 0.0599 0.2275 0.3913
O2 0.0631 0.2101 0.0312
O3 0.0958 0.2205 0.2195
```

Copy entry 1 word for word.
Starting from the GGA+U geometry in the Materials Project, the X-ray diffraction stick pattern of CaSc4Fe4O12 was simulated for Cu Kα, 1.54184 Å.
Intensities are scaled so that the largest is 100.

Peak list (12 most intense, 2θ from 10° to 90°, by angle)
| (hkl) | 2θ (°) | I/Imax |
| --- | --- | --- |
| 0 1 1 | 18.6 | 28.2 |
| 1 -1 0 | 24.2 | 21.9 |
| 1 -1 2 | 31.5 | 100.0 |
| 1 1 -2 | 31.8 | 77.3 |
| 0 2 1 | 33.9 | 22.4 |
| 1 1 3 | 36.8 | 30.4 |
| 2 1 1 | 38.7 | 40.9 |
| -1 1 3 | 38.8 | 42.0 |
| 1 -2 2 | 43.6 | 24.9 |
| 2 2 1 | 47.9 | 34.0 |
| -2 2 1 | 50.8 | 27.2 |
| 1 3 -1 | 54.5 | 23.1 |

Crystal structure
```
data_CaSc4Fe4O12
_chemical_formula_sum 'Ca1 Sc4 Fe4 O12'
_space_group_name_H-M_alt 'P 1'
_space_group_IT_number 1
_cell_length_a 5.173
_cell_length_b 5.458
_cell_length_c 9.000
_cell_angle_alpha 87.08
_cell_angle_beta 87.13
_cell_angle_gamma 87.51
loop_
_space_group_symop_operation_xyz
'x,y,z'
loop_
_atom_site_label
_atom_site_fract_x
_atom_site_fract_y
_atom_site_fract_z
Ca1 0.000 0.000 0.000
Sc1 0.053 0.775 0.342
Sc2 0.184 0.556 0.816
Sc3 0.544 0.069 0.806
Sc4 0.616 0.246 0.391
Fe1 0.100 0.147 0.588
Fe2 0.147 0.329 0.212
Fe3 0.581 0.578 0.078
Fe4 0.672 0.653 0.624
O1 0.274 0.075 0.383
O2 0.337 0.851 0.665
O3 0.362 0.303 0.973
O4 0.365 0.803 0.949
O5 0.407 0.553 0.298
O6 0.417 0.357 0.650
O7 0.814 0.951 0.516
O8 0.824 0.741 0.807
O9 0.837 0.116 0.222
O10 0.902 0.465 0.483
O11 0.926 0.236 0.781
O12 0.935 0.636 0.147
```